(1)
Theoretical powder diffraction line list of Sm6Tm3In for Cu Kα, from a crystal structure in Alexandria, relaxed with PBE.

Atomic structure:
```
Sm6Tm3In
1.0
12.834 0.000 0.000
0.000 3.512 0.000
-2.606 0.000 14.080
Sm Tm In
12 6 2
Direct
0.010 0.250 0.309
0.158 0.250 0.884
0.251 0.750 0.304
0.271 0.750 0.714
0.311 0.750 0.075
0.386 0.250 0.533
0.614 0.750 0.467
0.689 0.250 0.925
0.729 0.250 0.286
0.749 0.250 0.696
0.842 0.750 0.116
0.990 0.750 0.691
0.079 0.250 0.096
0.128 0.750 0.501
0.428 0.250 0.896
0.572 0.750 0.104
0.872 0.250 0.499
0.921 0.750 0.904
0.468 0.250 0.273
0.532 0.750 0.727
```

Principal peaks in the range 15° ≤ 2θ ≤ 90°, by angle:
2θ (°)  I (rel.)
30.4  47
31.1  65
31.8  100
33.2  46
33.2  35
37.1  28

=====

(2)
Theoretical powder diffraction line list of Sm4Tm9In11 for Cu Kα, from a crystal structure in Alexandria, relaxed with PBE.

Atomic structure:
```
Sm4Tm9In11
1.0
7.964 -11.666 0.000
7.964 11.666 0.000
0.000 0.000 3.450
Sm Tm In
4 9 11
Direct
0.094 0.257 0.000
0.257 0.094 0.000
0.743 0.906 0.000
0.906 0.743 0.000
0.000 0.000 0.000
0.111 0.667 0.000
0.297 0.492 0.000
0.333 0.889 0.000
0.492 0.297 0.000
0.508 0.703 0.000
0.667 0.111 0.000
0.703 0.508 0.000
0.889 0.333 0.000
0.091 0.461 0.500
0.121 0.879 0.500
0.303 0.303 0.500
0.310 0.690 0.500
0.461 0.091 0.500
0.500 0.500 0.500
0.539 0.909 0.500
0.690 0.310 0.500
0.697 0.697 0.500
0.879 0.121 0.500
0.909 0.539 0.500
```

Principal peaks in the range 15° ≤ 2θ ≤ 90°, by angle:
2θ (°)  I (rel.)
32.2  71
32.8  100
34.1  97
34.4  83
34.8  75
38.6  72

=====

(3)
Theoretical powder diffraction line list of Sm2Y4In for Cu Kα, from a crystal structure in Alexandria, relaxed with PBE.

Atomic structure:
```
Sm2Y4In
1.0
5.708 0.000 0.000
0.000 6.732 0.000
-2.727 0.000 11.377
Sm Y In
4 8 2
Direct
0.017 0.250 0.474
0.330 0.750 0.079
0.670 0.250 0.921
0.983 0.750 0.526
0.155 0.006 0.785
0.155 0.494 0.785
0.226 0.250 0.064
0.411 0.750 0.375
0.589 0.250 0.625
0.774 0.750 0.936
0.845 0.506 0.215
0.845 0.994 0.215
0.445 0.250 0.334
0.555 0.750 0.666
```

Principal peaks in the range 15° ≤ 2θ ≤ 90°, by angle:
2θ (°)  I (rel.)
30.9  60
31.3  96
31.5  100
31.8  87
33.0  59
33.1  54

=====

(4)
Theoretical powder diffraction line list of Sm5Y8In for Cu Kα, from a crystal structure in Alexandria, relaxed with PBE.

Atomic structure:
```
Sm5Y8In
1.0
-5.301 5.301 4.178
5.301 -5.301 4.178
5.301 5.301 -4.178
Sm Y In
5 8 1
Direct
0.000 0.000 0.000
0.218 0.412 0.805
0.587 0.782 0.194
0.588 0.393 0.806
0.607 0.413 0.195
0.041 0.958 0.498
0.042 0.541 0.083
0.420 0.079 0.340
0.457 0.959 0.917
0.459 0.543 0.502
0.740 0.080 0.660
0.920 0.580 0.660
0.921 0.260 0.340
0.250 0.750 0.500
```

Principal peaks in the range 15° ≤ 2θ ≤ 90°, by angle:
2θ (°)  I (rel.)
27.2  31
27.4  46
32.3  100
33.3  37
33.8  26
34.3  45

=====

(5)
Theoretical powder diffraction line list of Sm12Y7In for Cu Kα, from a crystal structure in Alexandria, relaxed with PBE.

Atomic structure:
```
Sm12Y7In
1.0
6.163 3.558 5.056
-6.163 3.558 5.056
0.000 -7.116 5.056
Sm Y In
12 7 1
Direct
0.002 0.354 0.884
0.116 0.998 0.646
0.234 0.627 0.759
0.241 0.766 0.373
0.354 0.884 0.002
0.373 0.241 0.766
0.627 0.759 0.234
0.646 0.116 0.998
0.759 0.234 0.627
0.766 0.373 0.241
0.884 0.002 0.354
0.998 0.646 0.116
0.000 0.000 0.000
0.121 0.352 0.443
0.352 0.443 0.121
0.443 0.121 0.352
0.557 0.879 0.648
0.648 0.557 0.879
0.879 0.648 0.557
0.500 0.500 0.500
```

Principal peaks in the range 15° ≤ 2θ ≤ 90°, by angle:
2θ (°)  I (rel.)
30.7  55
30.8  100
32.4  100
34.0  41
53.5  31
53.6  30

=====

(6)
Theoretical powder diffraction line list of Sm4YIn4 for Cu Kα, from a crystal structure in Alexandria, relaxed with PBE.

Atomic structure:
```
Sm4YIn4
1.0
7.203 0.000 0.000
0.000 7.203 0.000
0.000 0.000 10.843
Sm Y In
8 2 8
Direct
0.026 0.250 0.174
0.250 0.026 0.674
0.250 0.474 0.674
0.474 0.250 0.174
0.526 0.750 0.826
0.750 0.526 0.326
0.750 0.974 0.326
0.974 0.750 0.826
0.250 0.750 0.250
0.750 0.250 0.750
0.016 0.250 0.476
0.250 0.016 0.976
0.250 0.484 0.976
0.484 0.250 0.476
0.516 0.750 0.524
0.750 0.516 0.024
0.750 0.984 0.024
0.984 0.750 0.524
```

Principal peaks in the range 15° ≤ 2θ ≤ 90°, by angle:
2θ (°)  I (rel.)
20.5  12
28.9  43
35.2  100
35.4  16
50.7  14
63.2  21

=====

(7)
Theoretical powder diffraction line list of Sm15YIn4 for Cu Kα, from a crystal structure in Alexandria, relaxed with PBE.

Atomic structure:
```
Sm15YIn4
1.0
4.940 0.000 0.000
0.000 4.940 0.000
0.000 0.000 25.170
Sm Y In
15 1 4
Direct
0.000 0.000 0.000
0.000 0.000 0.205
0.000 0.000 0.402
0.000 0.000 0.598
0.000 0.000 0.795
0.000 0.500 0.106
0.000 0.500 0.303
0.000 0.500 0.500
0.000 0.500 0.697
0.000 0.500 0.894
0.500 0.000 0.106
0.500 0.000 0.303
0.500 0.000 0.500
0.500 0.000 0.697
0.500 0.000 0.894
0.500 0.500 0.000
0.500 0.500 0.206
0.500 0.500 0.402
0.500 0.500 0.598
0.500 0.500 0.794
```

Principal peaks in the range 15° ≤ 2θ ≤ 90°, by angle:
2θ (°)  I (rel.)
31.2  100
35.7  17
36.4  34
51.9  23
61.3  13
62.2  27

=====

(8)
Theoretical powder diffraction line list of Sm4YIn for Cu Kα, from a crystal structure in Alexandria, relaxed with PBE.

Atomic structure:
```
Sm4YIn
1.0
4.124 0.000 0.000
0.000 4.124 0.000
0.000 0.000 11.211
Sm Y In
4 1 1
Direct
0.000 0.000 0.147
0.000 0.000 0.853
0.500 0.500 0.331
0.500 0.500 0.669
0.000 0.000 0.500
0.500 0.500 0.000
```

Principal peaks in the range 15° ≤ 2θ ≤ 90°, by angle:
2θ (°)  I (rel.)
30.7  61
32.3  100
43.9  23
55.6  43
58.7  15
89.6  11